# Tb4ZnCu2Au
Computed X-ray diffraction stick pattern, a wavelength of 1.5418 Å. Input: a structure optimized by DFT (GGA-PBE).

Main lines, in order of rising 2θ (10° ≤ 2θ ≤ 80°):
2θ 20.80, I 6, (1 0 1); 2θ 25.09, I 12, (1 0 4); 2θ 35.69, I 100, (0 1 8); 2θ 35.87, I 100, (1 1 0); 2θ 51.50, I 35, (2 0 8); 2θ 64.01, I 18, (1 0 16); 2θ 64.36, I 35, (1 2 8); 2θ 64.47, I 18, (3 0 0); 2θ 75.61, I 11, (0 2 16); 2θ 76.04, I 11, (2 2 0)

Atomic structure:
Cell lengths 5.0065, 5.0065, 24.7069 Å; angles 90.00, 90.00, 120.00 degrees
Space group R-3m (No. 166, hexagonal axes)
Symmetry-distinct sites (fractional):
Tb 0.0000 0.0000 0.1248
Tb 0.0000 0.0000 0.3752
Zn 0.0000 0.0000 0.0000
Cu 0.0000 0.0000 0.2554
Au 0.0000 0.0000 0.5000

# TbZn2CuAu4
Computed X-ray diffraction stick pattern, a wavelength of 1.5418 Å. Input: a structure optimized by DFT (GGA-PBE).

Main lines, in order of rising 2θ (10° ≤ 2θ ≤ 80°):
2θ 27.01, I 28, (1 0 4); 2θ 28.95, I 17, (0 1 5); 2θ 33.64, I 23, (1 0 7); 2θ 36.29, I 86, (0 1 8); 2θ 40.74, I 100, (1 1 0); 2θ 45.15, I 22, (0 1 11); 2θ 55.69, I 25, (2 0 8); 2θ 68.92, I 18, (1 1 15); 2θ 71.25, I 24, (1 2 8); 2θ 74.16, I 17, (3 0 0)

Atomic structure:
Cell lengths 4.4295, 4.4295, 25.9228 Å; angles 90.00, 90.00, 120.00 degrees
Space group R-3m (No. 166, hexagonal axes)
Symmetry-distinct sites (fractional):
Tb 0.0000 0.0000 0.0000
Zn 0.0000 0.0000 0.2401
Cu 0.0000 0.0000 0.5000
Au 0.0000 0.0000 0.1312
Au 0.0000 0.0000 0.3964